# NaNi3O5
Calculated PXRD pattern, Cu Kα (λ = 1.5418 Å). Input: DFT lattice parameters and positions (GGA+U).

Largest 10 diffraction maxima, in order of rising 2θ, 2θ = 10–90°:
12.04 deg, rel. 100, (1 0 1)
32.56 deg, rel. 13, (3 0 1)
34.15 deg, rel. 12, (3 0 2)
35.25 deg, rel. 12, (0 0 6)
37.14 deg, rel. 30, (1 1 3)
39.47 deg, rel. 13, (2 1 2)
41.72 deg, rel. 12, (2 1 3)
43.90 deg, rel. 13, (3 0 5)
44.70 deg, rel. 32, (2 1 4)
65.34 deg, rel. 10, (5 1 2)

Structure:
```
NaNi3O5
1.0
8.387 0.000 0.000
0.000 2.913 0.000
0.000 0.000 15.276
Na Ni O
4 12 20
direct
0.046 0.250 0.134
0.454 0.750 0.634
0.546 0.250 0.366
0.954 0.750 0.866
0.098 0.250 0.647
0.167 0.750 0.486
0.197 0.250 0.318
0.303 0.750 0.818
0.333 0.250 0.986
0.402 0.750 0.147
0.598 0.250 0.853
0.667 0.750 0.014
0.697 0.250 0.182
0.803 0.750 0.682
0.833 0.250 0.514
0.902 0.750 0.353
0.023 0.250 0.420
0.072 0.750 0.271
0.194 0.750 0.706
0.195 0.250 0.877
0.240 0.750 0.058
0.260 0.250 0.558
0.305 0.750 0.377
0.306 0.250 0.206
0.428 0.250 0.771
0.477 0.750 0.920
0.523 0.250 0.080
0.572 0.750 0.229
0.694 0.750 0.794
0.695 0.250 0.623
0.740 0.750 0.442
0.760 0.250 0.942
0.805 0.750 0.123
0.806 0.250 0.294
0.928 0.250 0.729
0.977 0.750 0.580
```